Theoretical powder X-ray diffraction pattern of Rb2Tl3F10 for Cu Kα X-rays, from a DFT-relaxed cell (PBE, Alexandria).
Kinematic intensities with the Lorentz-polarization factor, no thermal factor.

Principal peaks in the range 15° ≤ 2θ ≤ 90°, by angle:
d/Å, Position (°2θ), I_rel
4.255, 20.88, 54
3.712, 23.98, 78
3.687, 24.14, 24
3.629, 24.53, 22
3.523, 25.28, 100
3.024, 29.54, 22
2.844, 31.46, 31
2.393, 37.59, 23

Cell and atoms:
```
data_Rb2Tl3F10
_symmetry_space_group_name_H-M 'C 1 2/m 1'
_symmetry_Int_Tables_number 12
_cell_length_a 21.118
_cell_length_b 6.526
_cell_length_c 9.134
_cell_angle_alpha 90.00
_cell_angle_beta 111.30
_cell_angle_gamma 90.00
loop_
_symmetry_equiv_pos_as_xyz
'x,y,z'
'-x,-y,-z'
'-x,y,-z'
'x,-y,z'
'x+1/2,y+1/2,z'
'-x+1/2,-y+1/2,-z'
'-x+1/2,y+1/2,-z'
'x+1/2,-y+1/2,z'
loop_
_atom_site_label
_atom_site_fract_x
_atom_site_fract_y
_atom_site_fract_z
_atom_site_occupancy
Rb1 0.113 0.000 0.239 1
Rb2 0.206 0.000 0.849 1
Tl1 0.000 0.279 0.500 1
Tl2 0.085 0.500 0.999 1
Tl3 0.181 0.500 0.528 1
F1 0.000 0.285 0.000 1
F2 0.012 0.000 0.658 1
F3 0.040 0.500 0.743 1
F4 0.115 0.238 0.533 1
F5 0.124 0.500 0.274 1
F6 0.155 0.256 0.030 1
F7 0.229 0.500 0.774 1
F8 0.250 0.250 0.500 1
```


Theoretical powder X-ray diffraction pattern of Li2MgH6Pt for Cu Kα X-rays, from a DFT-relaxed cell (PBE, Alexandria).
Kinematic intensities with the Lorentz-polarization factor, no thermal factor.

Principal peaks in the range 15° ≤ 2θ ≤ 90°, by angle:
d/Å, Position (°2θ), I_rel
5.559, 15.94, 50
3.931, 22.62, 100
3.210, 27.79, 70
2.270, 39.71, 75
2.101, 43.05, 24
1.758, 52.02, 22
1.435, 64.97, 20
1.310, 72.08, 31

Cell and atoms:
```
data_Li2MgH6Pt
_symmetry_space_group_name_H-M 'P -3 m 1'
_symmetry_Int_Tables_number 164
_symmetry_space_group_name_Hall '-P 3 2"'
_cell_length_a 4.5393
_cell_length_b 4.5393
_cell_length_c 5.5590
_cell_angle_alpha 90.00
_cell_angle_beta 90.00
_cell_angle_gamma 120.00
loop_
_atom_site_label
_atom_site_fract_x
_atom_site_fract_y
_atom_site_fract_z
_atom_site_occupancy
Li1 0.3333 0.6667 0.1588 1
Mg1 0.0000 0.0000 0.5000 1
H1 0.1718 0.3435 0.8142 1
Pt1 0.0000 0.0000 0.0000 1
```


Theoretical powder X-ray diffraction pattern of Na3In2Au for Cu Kα X-rays, from a DFT-relaxed cell (PBE, Alexandria).
Kinematic intensities with the Lorentz-polarization factor, no thermal factor.

Principal peaks in the range 15° ≤ 2θ ≤ 90°, by angle:
d/Å, Position (°2θ), I_rel
3.407, 26.16, 49
2.623, 34.19, 100
2.409, 37.33, 53
2.303, 39.11, 35
2.271, 39.68, 21
2.054, 44.08, 27
1.370, 68.51, 23
1.311, 72.02, 22

Cell and atoms:
Unit cell a=13.627 b=13.627 c=13.627 alpha=90.00 beta=90.00 gamma=90.00
Space group Fd-3m (No. 227, origin choice 2)
Symmetry-distinct sites (fractional):
Na  0.078  0.375  0.375 (multiplicity 48)
In  0.041  0.041  0.709 (multiplicity 32)
Au  0.000  0.000  0.500 (multiplicity 16)


Theoretical powder X-ray diffraction pattern of Ba2Ti2Se5 for Cu Kα X-rays, from a DFT-relaxed cell (PBE, Alexandria).
Kinematic intensities with the Lorentz-polarization factor, no thermal factor.

Principal peaks in the range 15° ≤ 2θ ≤ 90°, by angle:
d/Å, Position (°2θ), I_rel
3.817, 23.31, 53
3.450, 25.82, 40
3.271, 27.27, 40
3.121, 28.60, 100
2.779, 32.21, 60
2.566, 34.97, 61
2.093, 43.22, 29
1.622, 56.76, 24

Cell and atoms:
```
data_Ba2Ti2Se5
_symmetry_space_group_name_H-M 'C 1 2/m 1'
_symmetry_Int_Tables_number 12
_cell_length_a 13.886
_cell_length_b 5.132
_cell_length_c 7.877
_cell_angle_alpha 90.00
_cell_angle_beta 109.60
_cell_angle_gamma 90.00
loop_
_symmetry_equiv_pos_as_xyz
'x,y,z'
'-x,-y,-z'
'-x,y,-z'
'x,-y,z'
'x+1/2,y+1/2,z'
'-x+1/2,-y+1/2,-z'
'-x+1/2,y+1/2,-z'
'x+1/2,-y+1/2,z'
loop_
_atom_site_label
_atom_site_fract_x
_atom_site_fract_y
_atom_site_fract_z
_atom_site_occupancy
Ba1 0.101 0.000 0.301 1
Ti1 0.165 0.500 0.901 1
Se1 0.000 0.500 0.000 1
Se2 0.150 0.500 0.584 1
Se3 0.152 0.000 0.907 1
```


Theoretical powder X-ray diffraction pattern of BC2S for Cu Kα X-rays, from a DFT-relaxed cell (PBE, Alexandria).
Kinematic intensities with the Lorentz-polarization factor, no thermal factor.

Principal peaks in the range 15° ≤ 2θ ≤ 90°, by angle:
d/Å, Position (°2θ), I_rel
4.787, 18.54, 26
3.435, 25.94, 100
2.971, 30.08, 16
2.640, 33.96, 19
2.524, 35.56, 18
2.276, 39.60, 20
2.192, 41.18, 33
2.089, 43.31, 15

Cell and atoms:
```
data_BC2S
_symmetry_space_group_name_H-M 'C 1 m 1'
_symmetry_Int_Tables_number 8
_cell_length_a 6.924
_cell_length_b 2.714
_cell_length_c 4.824
_cell_angle_alpha 90.00
_cell_angle_beta 97.12
_cell_angle_gamma 90.00
loop_
_symmetry_equiv_pos_as_xyz
'x,y,z'
'x,-y,z'
'x+1/2,y+1/2,z'
'x+1/2,-y+1/2,z'
loop_
_atom_site_label
_atom_site_fract_x
_atom_site_fract_y
_atom_site_fract_z
_atom_site_occupancy
B1 0.000 0.000 0.000 1
C1 0.015 0.000 0.313 1
C2 0.019 0.500 0.445 1
S1 0.422 0.000 0.775 1
```


Question: Number 1 is which compound?
Answer: Rb2Tl3F10


What did the second record say?
Theoretical powder X-ray diffraction pattern of Li2MgH6Pt for Cu Kα X-rays, from a DFT-relaxed cell (PBE, Alexandria).
Kinematic intensities with the Lorentz-polarization factor, no thermal factor.

Principal peaks in the range 15° ≤ 2θ ≤ 90°, by angle:
d/Å, Position (°2θ), I_rel
5.559, 15.94, 50
3.931, 22.62, 100
3.210, 27.79, 70
2.270, 39.71, 75
2.101, 43.05, 24
1.758, 52.02, 22
1.435, 64.97, 20
1.310, 72.08, 31

Cell and atoms:
```
data_Li2MgH6Pt
_symmetry_space_group_name_H-M 'P -3 m 1'
_symmetry_Int_Tables_number 164
_symmetry_space_group_name_Hall '-P 3 2"'
_cell_length_a 4.5393
_cell_length_b 4.5393
_cell_length_c 5.5590
_cell_angle_alpha 90.00
_cell_angle_beta 90.00
_cell_angle_gamma 120.00
loop_
_atom_site_label
_atom_site_fract_x
_atom_site_fract_y
_atom_site_fract_z
_atom_site_occupancy
Li1 0.3333 0.6667 0.1588 1
Mg1 0.0000 0.0000 0.5000 1
H1 0.1718 0.3435 0.8142 1
Pt1 0.0000 0.0000 0.0000 1
```